Starting from a cell relaxed with GGA-PBE, the XRD peak list of PuMn2I8 was calculated for a wavelength of 1.5418 Å.
Kinematic intensities with the Lorentz-polarization factor, no thermal factor.

Largest 8 diffraction maxima, in order of rising 2θ, 5 to 70 degrees two-theta:
2θ (°)	intensity
11.76	20
15.91	93
26.01	100
29.80	20
32.14	40
33.31	31
38.63	26
41.58	46

Structure:
```
PuMn2I8
1.0
8.688 0.000 0.000
-4.344 7.524 0.000
0.000 0.000 8.285
Pu Mn I
1 2 8
Direct
0.000 0.000 0.000
0.333 0.667 0.687
0.667 0.333 0.313
0.162 0.325 0.782
0.163 0.838 0.782
0.325 0.163 0.218
0.333 0.667 0.381
0.667 0.333 0.619
0.675 0.837 0.782
0.837 0.162 0.218
0.838 0.675 0.218
```

=====

Starting from a cell relaxed with GGA-PBE, the XRD peak list of La8AgIr2 was calculated for a wavelength of 1.5418 Å.
Kinematic intensities with the Lorentz-polarization factor, no thermal factor.

Largest 8 diffraction maxima, in order of rising 2θ, 5 to 70 degrees two-theta:
2θ (°)	intensity
30.03	56
30.72	42
31.28	39
32.23	59
33.53	100
33.89	48
36.12	48
50.81	49

Structure:
```
La8AgIr2
1.0
4.344 -6.970 0.000
4.344 6.970 0.000
-1.694 0.000 5.719
La Ag Ir
8 1 2
Direct
0.091 0.338 0.568
0.238 0.762 0.000
0.338 0.091 0.568
0.392 0.392 0.190
0.608 0.608 0.810
0.662 0.909 0.432
0.762 0.238 0.000
0.909 0.662 0.432
0.000 0.000 0.000
0.287 0.713 0.500
0.713 0.287 0.500
```

=====

Starting from a cell relaxed with GGA-PBE, the XRD peak list of ScPa2Se6 was calculated for a wavelength of 1.5418 Å.
Kinematic intensities with the Lorentz-polarization factor, no thermal factor.

Largest 8 diffraction maxima, in order of rising 2θ, 5 to 70 degrees two-theta:
2θ (°)	intensity
13.05	100
25.50	27
30.68	74
31.10	35
40.01	18
43.92	26
44.15	16
44.57	26

Structure:
```
ScPa2Se6
1.0
8.914 -2.051 0.000
8.914 2.051 0.000
-2.082 0.000 8.018
Sc Pa Se
1 2 6
Direct
0.000 0.000 0.000
0.339 0.339 0.679
0.661 0.661 0.321
0.159 0.159 0.088
0.173 0.173 0.566
0.497 0.497 0.775
0.503 0.503 0.225
0.827 0.827 0.434
0.841 0.841 0.912
```